# 1
For Zr3In4Ag2, a DFT-relaxed cell (GGA-PBE, Alexandria) gives the computed powder diffractogram in this record (a wavelength of 1.5418 Å).
No peak broadening, texture or thermal motion is included.

Most intense lines, 15 to 90 degrees two-theta, by intensity:
| d (Å) | I_rel |
| --- | --- |
| 2.400 | 100 |
| 2.549 | 98 |
| 1.748 | 25 |
| 1.412 | 20 |
| 1.339 | 19 |
| 1.926 | 18 |

Crystal structure
Lattice parameters (Å, degrees): 5.789 5.789 8.914 117.96 117.96 48.98
Sites, in units of the cell vectors:
Zr  0.000  0.000  0.000
Zr  0.336  0.336  0.332
Zr  0.664  0.664  0.668
In  0.066  0.066  0.394
In  0.287  0.287  0.945
In  0.713  0.713  0.055
In  0.934  0.934  0.606
Ag  0.392  0.392  0.721
Ag  0.608  0.608  0.279

***

# 2
For La12Pm7Er, a DFT-relaxed cell (GGA-PBE, Alexandria) gives the computed powder diffractogram in this record (a wavelength of 1.5418 Å).
No peak broadening, texture or thermal motion is included.

Most intense lines, 15 to 90 degrees two-theta, by intensity:
| d (Å) | I_rel |
| --- | --- |
| 3.017 | 100 |
| 3.289 | 38 |
| 2.737 | 30 |
| 2.771 | 27 |
| 2.344 | 25 |
| 2.663 | 22 |

Crystal structure
Lattice parameters (Å, degrees): 11.594 11.594 11.594 116.65 116.65 116.65
Sites, in units of the cell vectors:
La  0.000  0.407  0.593
La  0.000  0.593  0.407
La  0.070  0.070  0.425
La  0.070  0.425  0.070
La  0.407  0.000  0.593
La  0.407  0.593  0.000
La  0.425  0.070  0.070
La  0.575  0.930  0.930
La  0.593  0.000  0.407
La  0.593  0.407  0.000
La  0.930  0.575  0.930
La  0.930  0.930  0.575
Pm  0.000  0.000  0.000
Pm  0.134  0.385  0.385
Pm  0.385  0.134  0.385
Pm  0.385  0.385  0.134
Pm  0.615  0.615  0.866
Pm  0.615  0.866  0.615
Pm  0.866  0.615  0.615
Er  0.500  0.500  0.500

***

# 3
For KSmH2S2O9, a DFT-relaxed cell (GGA-PBE, Alexandria) gives the computed powder diffractogram in this record (a wavelength of 1.5418 Å).
No peak broadening, texture or thermal motion is included.

Most intense lines, 15 to 90 degrees two-theta, by intensity:
| d (Å) | I_rel |
| --- | --- |
| 3.143 | 100 |
| 3.315 | 93 |
| 3.168 | 67 |
| 4.545 | 58 |
| 2.755 | 45 |
| 2.672 | 36 |

Crystal structure
Lattice parameters (Å, degrees): 10.219 8.668 10.686 90.00 120.97 90.00
Sites, in units of the cell vectors:
K  0.211  0.191  0.191
K  0.211  0.309  0.691
K  0.789  0.691  0.309
K  0.789  0.809  0.809
Sm  0.270  0.663  0.020
Sm  0.270  0.837  0.520
Sm  0.730  0.163  0.480
Sm  0.730  0.337  0.980
H  0.267  0.510  0.433
H  0.267  0.990  0.933
H  0.407  0.502  0.595
H  0.407  0.998  0.095
H  0.593  0.002  0.905
H  0.593  0.498  0.405
H  0.733  0.010  0.067
H  0.733  0.490  0.567
S  0.055  0.615  0.183
S  0.055  0.885  0.683
S  0.473  0.676  0.881
S  0.473  0.824  0.381
S  0.527  0.176  0.619
S  0.527  0.324  0.119
S  0.945  0.115  0.317
S  0.945  0.385  0.817
O  0.069  0.715  0.303
O  0.069  0.785  0.803
O  0.073  0.711  0.076
O  0.073  0.789  0.576
O  0.101  0.048  0.394
O  0.101  0.452  0.894
O  0.175  0.006  0.744
O  0.175  0.494  0.244
O  0.304  0.545  0.535
O  0.304  0.955  0.035
O  0.326  0.593  0.830
O  0.326  0.907  0.330
O  0.410  0.071  0.616
O  0.410  0.429  0.116
O  0.451  0.696  0.278
O  0.451  0.804  0.778
O  0.480  0.239  0.472
O  0.480  0.261  0.972
O  0.520  0.739  0.028
O  0.520  0.761  0.528
O  0.549  0.196  0.222
O  0.549  0.304  0.722
O  0.590  0.571  0.884
O  0.590  0.929  0.384
O  0.674  0.093  0.670
O  0.674  0.407  0.170
O  0.696  0.045  0.965
O  0.696  0.455  0.465
O  0.825  0.506  0.756
O  0.825  0.994  0.256
O  0.899  0.548  0.106
O  0.899  0.952  0.606
O  0.927  0.211  0.424
O  0.927  0.289  0.924
O  0.931  0.215  0.197
O  0.931  0.285  0.697

***

# 4
For SrRe2PbO8, a DFT-relaxed cell (GGA-PBE, Alexandria) gives the computed powder diffractogram in this record (a wavelength of 1.5418 Å).
No peak broadening, texture or thermal motion is included.

Most intense lines, 15 to 90 degrees two-theta, by intensity:
| d (Å) | I_rel |
| --- | --- |
| 4.323 | 100 |
| 3.070 | 86 |
| 3.044 | 76 |
| 2.162 | 39 |
| 1.767 | 32 |
| 2.837 | 23 |

Crystal structure
Lattice parameters (Å, degrees): 6.139 6.139 7.426 90.00 90.00 120.00
Sites, in units of the cell vectors:
Sr  0.000  0.000  0.000
Re  0.333  0.667  0.301
Re  0.667  0.333  0.699
Pb  0.000  0.000  0.500
O  0.169  0.340  0.234
O  0.171  0.831  0.234
O  0.333  0.667  0.539
O  0.340  0.171  0.766
O  0.660  0.829  0.234
O  0.667  0.333  0.461
O  0.829  0.169  0.766
O  0.831  0.660  0.766